Starting from a GGA-PBE-relaxed structure, the powder XRD pattern of Dy4Y2ErNi2Te2 was simulated for Cu Kα.
Kinematic intensities with the Lorentz-polarization factor, no thermal factor.

Most intense lines, 10° ≤ 2θ ≤ 90°, most intense first:
2θ (°)  I (rel.)  h k l
34.0  100  1 4 1
32.9  61  0 3 3
30.4  49  1 1 2
34.5  31  1 3 2
58.8  29  2 3 3
47.3  23  2 0 0
34.4  18  0 6 0
50.9  17  1 7 2
38.4  15  1 2 3
45.0  15  1 1 4

Cell and atoms:
```
data_Dy4Y2ErNi2Te2
_chemical_formula_sum 'Dy8 Y4 Er2 Ni4 Te4'
_cell_length_a 3.844
_cell_length_b 15.653
_cell_length_c 9.585
_cell_angle_alpha 90.00
_cell_angle_beta 90.00
_cell_angle_gamma 90.00
_symmetry_space_group_name_H-M 'I m m 2'
_symmetry_Int_Tables_number 44
_symmetry_space_group_name_Hall 'I 2 -2'
loop_
_atom_site_label
_atom_site_type_symbol
_atom_site_fract_x
_atom_site_fract_y
_atom_site_fract_z
Dy1 Dy 0.000 0.132 0.000
Dy2 Dy 0.000 0.353 0.852
Y1 Y 0.000 0.316 0.202
Er1 Er 0.000 0.000 0.581
Ni1 Ni 0.000 0.238 0.508
Te1 Te 0.000 0.000 0.247
Te2 Te 0.000 0.500 0.345
```